Diffraction record for KVTe2O6. The powder X-ray diffraction pattern is calculated, not measured: it uses DFT lattice parameters and positions (GGA+U) and a wavelength of 1.5418 Å.

Atomic structure:
Unit cell a=9.153 b=13.616 c=6.430 alpha=90.00 beta=101.56 gamma=90.00
Space group C2/c (No. 15)
Asymmetric unit:
K  0.000  0.116  0.250 x4
V  0.000  0.253  0.750 x4
Te  0.200  0.413  0.194 x8
O  0.072  0.323  0.007 x8
O  0.158  0.179  0.662 x8
O  0.187  0.034  0.990 x8

Top 12 peaks for 2θ = 10–80°, sorted by position:
2theta, I_rel, (hkl)
19.19, 84, 0 2 1
19.82, 22, 2 0 0
23.76, 39, 2 2 0
25.56, 100, 2 2 -1
27.24, 68, 1 3 1
28.33, 23, 0 0 2
29.73, 18, 2 2 1
29.83, 19, 0 4 1
37.69, 19, 2 4 1
44.69, 18, 4 0 -2
45.03, 18, 3 5 0
50.75, 19, 1 3 3